Record 1
Ce3Hg2Os: computed powder X-ray diffraction pattern (Cu Kα X-rays), based on the GGA-PBE geometry in Alexandria.

```
data_Ce3Hg2Os
_chemical_formula_sum 'Ce12 Hg8 Os4'
_cell_length_a 5.0972
_cell_length_b 15.0756
_cell_length_c 7.7978
_cell_angle_alpha 90.00
_cell_angle_beta 90.00
_cell_angle_gamma 90.00
_symmetry_space_group_name_H-M 'C m m m'
_symmetry_Int_Tables_number 65
_symmetry_space_group_name_Hall '-C 2 2'
loop_
_atom_site_label
_atom_site_fract_x
_atom_site_fract_y
_atom_site_fract_z
_atom_site_occupancy
Ce1 0.0000 0.0000 0.2329 1
Ce2 0.0000 0.3101 0.2023 1
Hg1 0.0000 0.1626 0.5000 1
Hg2 0.0000 0.5000 0.0000 1
Hg3 0.0000 0.5000 0.5000 1
Os1 0.0000 0.1457 0.0000 1
```

Most intense lines, 10 to 90 degrees two-theta, low angle first:
| d [Å] | 2theta | Rel. int. |
| --- | --- | --- |
| 2.636 | 34.0 | 100.0 |
| 2.597 | 34.5 | 6.5 |
| 2.549 | 35.2 | 27.4 |
| 2.513 | 35.7 | 18.7 |
| 1.949 | 46.6 | 8.3 |
| 1.789 | 51.0 | 13.7 |
| 1.548 | 59.7 | 8.0 |
| 1.488 | 62.4 | 17.7 |
| 1.473 | 63.1 | 10.1 |
| 1.318 | 71.6 | 7.3 |


Record 2
Co2Ni7Pd2: computed powder X-ray diffraction pattern (Cu Kα X-rays), based on the GGA-PBE geometry in Alexandria.

```
data_Co2Ni7Pd2
_chemical_formula_sum 'Co2 Ni7 Pd2'
_cell_length_a 4.6863
_cell_length_b 4.6873
_cell_length_c 6.3109
_cell_angle_alpha 99.17
_cell_angle_beta 99.17
_cell_angle_gamma 94.09
_symmetry_space_group_name_H-M 'P -1'
_symmetry_Int_Tables_number 2
_symmetry_space_group_name_Hall '-P 1'
loop_
_atom_site_label
_atom_site_fract_x
_atom_site_fract_y
_atom_site_fract_z
_atom_site_occupancy
Co1 0.1754 0.3236 0.0004 1
Ni1 0.0536 0.9247 0.6895 1
Ni2 0.0908 0.5913 0.3531 1
Ni3 0.4250 0.5544 0.6892 1
Ni4 0.5000 0.0000 0.5000 1
Pd1 0.3526 0.8515 0.1045 1
```

Most intense lines, 10 to 90 degrees two-theta, low angle first:
| d [Å] | 2theta | Rel. int. |
| --- | --- | --- |
| 2.370 | 38.0 | 29.1 |
| 2.289 | 39.4 | 46.1 |
| 2.043 | 44.3 | 39.4 |
| 2.023 | 44.8 | 85.9 |
| 2.017 | 44.9 | 72.0 |
| 2.002 | 45.3 | 72.7 |
| 1.976 | 45.9 | 100.0 |
| 1.965 | 46.2 | 53.7 |
| 1.414 | 66.1 | 26.6 |
| 1.151 | 84.1 | 23.7 |


Record 3
Cs2Nb3Cl7O5: computed powder X-ray diffraction pattern (Cu Kα X-rays), based on the GGA-PBE geometry in Alexandria.

```
data_Cs2Nb3Cl7O5
_chemical_formula_sum 'Cs8 Nb12 Cl28 O20'
_cell_length_a 17.7812
_cell_length_b 9.0726
_cell_length_c 11.3387
_cell_angle_alpha 90.00
_cell_angle_beta 109.15
_cell_angle_gamma 90.00
_symmetry_space_group_name_H-M 'C 1 2/c 1'
_symmetry_Int_Tables_number 15
_symmetry_space_group_name_Hall '-C 2yc'
loop_
_atom_site_label
_atom_site_fract_x
_atom_site_fract_y
_atom_site_fract_z
_atom_site_occupancy
Cs1 0.2017 0.0431 0.3536 1
Nb1 0.0000 0.4670 0.2500 1
Nb2 0.0017 0.2116 0.9737 1
Cl1 0.0000 0.0926 0.7500 1
Cl2 0.1428 0.4341 0.3231 1
Cl3 0.1438 0.2093 0.6143 1
Cl4 0.1460 0.2145 0.0359 1
O1 0.0000 0.0000 0.0000 1
O2 0.0003 0.2900 0.1201 1
O3 0.9999 0.3956 0.6269 1
```

Most intense lines, 10 to 90 degrees two-theta, low angle first:
| d [Å] | 2theta | Rel. int. |
| --- | --- | --- |
| 8.398 | 10.5 | 22.9 |
| 4.765 | 18.6 | 22.0 |
| 4.191 | 21.2 | 54.8 |
| 4.158 | 21.4 | 36.4 |
| 3.995 | 22.3 | 27.6 |
| 3.466 | 25.7 | 100.0 |
| 2.835 | 31.6 | 29.9 |
| 2.800 | 32.0 | 27.7 |
| 2.445 | 36.8 | 19.8 |
| 2.430 | 37.0 | 21.4 |


Record 4
Ce2CrB10: computed powder X-ray diffraction pattern (Cu Kα X-rays), based on the GGA-PBE geometry in Alexandria.

```
data_Ce2CrB10
_chemical_formula_sum 'Ce4 Cr2 B20'
_cell_length_a 5.6809
_cell_length_b 11.3286
_cell_length_c 4.1573
_cell_angle_alpha 90.00
_cell_angle_beta 90.00
_cell_angle_gamma 90.00
_symmetry_space_group_name_H-M 'P b a m'
_symmetry_Int_Tables_number 55
_symmetry_space_group_name_Hall '-P 2 2ab'
loop_
_atom_site_label
_atom_site_fract_x
_atom_site_fract_y
_atom_site_fract_z
_atom_site_occupancy
Ce1 0.2115 0.1342 0.0000 1
Cr1 0.0000 0.5000 0.5000 1
B1 0.0498 0.3099 0.5000 1
B2 0.1232 0.9595 0.5000 1
B3 0.1394 0.8027 0.5000 1
B4 0.2159 0.3837 0.2003 1
```

Most intense lines, 10 to 90 degrees two-theta, low angle first:
| d [Å] | 2theta | Rel. int. |
| --- | --- | --- |
| 4.157 | 21.4 | 25.7 |
| 4.011 | 22.2 | 67.8 |
| 3.217 | 27.7 | 13.5 |
| 2.887 | 31.0 | 100.0 |
| 2.836 | 31.5 | 31.4 |
| 2.343 | 38.4 | 81.4 |
| 2.079 | 43.5 | 15.9 |
| 2.006 | 45.2 | 23.4 |
| 1.846 | 49.4 | 27.2 |
| 1.806 | 50.5 | 12.8 |


Record 5
Sc8TiGa2: computed powder X-ray diffraction pattern (Cu Kα X-rays), based on the GGA-PBE geometry in Alexandria.

```
data_Sc8TiGa2
_chemical_formula_sum 'Sc16 Ti2 Ga4'
_cell_length_a 15.0817
_cell_length_b 4.6710
_cell_length_c 7.4078
_cell_angle_alpha 90.00
_cell_angle_beta 113.30
_cell_angle_gamma 90.00
_symmetry_space_group_name_H-M 'C 1 2/m 1'
_symmetry_Int_Tables_number 12
_symmetry_space_group_name_Hall '-C 2y'
loop_
_atom_site_label
_atom_site_fract_x
_atom_site_fract_y
_atom_site_fract_z
_atom_site_occupancy
Sc1 0.0493 0.0000 0.2420 1
Sc2 0.1074 0.5000 0.9606 1
Sc3 0.1501 0.0000 0.7135 1
Sc4 0.1810 0.5000 0.4474 1
Ti1 0.0000 0.5000 0.5000 1
Ga1 0.2174 0.0000 0.1491 1
```

Most intense lines, 10 to 90 degrees two-theta, low angle first:
| d [Å] | 2theta | Rel. int. |
| --- | --- | --- |
| 6.926 | 12.8 | 12.3 |
| 2.546 | 35.2 | 100.0 |
| 2.534 | 35.4 | 97.6 |
| 2.376 | 37.9 | 36.9 |
| 2.335 | 38.5 | 42.1 |
| 1.963 | 46.3 | 19.8 |
| 1.666 | 55.1 | 22.7 |
| 1.503 | 61.7 | 15.5 |
| 1.386 | 67.6 | 12.9 |
| 1.384 | 67.7 | 12.6 |


Record 6
Cs2Sn5Pb3: computed powder X-ray diffraction pattern (Cu Kα X-rays), based on the GGA-PBE geometry in Alexandria.

```
data_Cs2Sn5Pb3
_chemical_formula_sum 'Cs8 Sn20 Pb12'
_cell_length_a 13.6325
_cell_length_b 14.9750
_cell_length_c 7.3554
_cell_angle_alpha 90.00
_cell_angle_beta 90.00
_cell_angle_gamma 90.00
_symmetry_space_group_name_H-M 'I b a m'
_symmetry_Int_Tables_number 72
_symmetry_space_group_name_Hall '-I 2 2c'
loop_
_atom_site_label
_atom_site_fract_x
_atom_site_fract_y
_atom_site_fract_z
_atom_site_occupancy
Cs1 0.2503 0.1235 0.0000 1
Sn1 0.0000 0.0000 0.2500 1
Sn2 0.0000 0.2516 0.2500 1
Sn3 0.1238 0.3698 0.0000 1
Pb1 0.0000 0.5000 0.2500 1
Pb2 0.1301 0.1257 0.5000 1
```

Most intense lines, 10 to 90 degrees two-theta, low angle first:
| d [Å] | 2theta | Rel. int. |
| --- | --- | --- |
| 3.435 | 25.9 | 89.5 |
| 3.281 | 27.2 | 59.7 |
| 3.237 | 27.6 | 57.9 |
| 2.624 | 34.2 | 100.0 |
| 2.520 | 35.6 | 37.6 |
| 2.500 | 35.9 | 37.3 |
| 2.419 | 37.2 | 41.6 |
| 2.097 | 43.1 | 23.8 |
| 2.073 | 43.7 | 22.4 |
| 1.429 | 65.3 | 32.3 |


Record 7
U3Pd: computed powder X-ray diffraction pattern (Cu Kα X-rays), based on the GGA-PBE geometry in Alexandria.

```
data_U3Pd
_chemical_formula_sum 'U3 Pd1'
_cell_length_a 5.1271
_cell_length_b 5.1271
_cell_length_c 3.0624
_cell_angle_alpha 90.00
_cell_angle_beta 90.00
_cell_angle_gamma 90.00
_symmetry_space_group_name_H-M 'P 4/m m m'
_symmetry_Int_Tables_number 123
_symmetry_space_group_name_Hall '-P 4 2'
loop_
_atom_site_label
_atom_site_fract_x
_atom_site_fract_y
_atom_site_fract_z
_atom_site_occupancy
U1 0.0000 0.0000 0.0000 1
U2 0.0000 0.5000 0.5000 1
Pd1 0.5000 0.5000 0.0000 1
```

Most intense lines, 10 to 90 degrees two-theta, low angle first:
| d [Å] | 2theta | Rel. int. |
| --- | --- | --- |
| 5.127 | 17.3 | 7.4 |
| 2.564 | 35.0 | 64.5 |
| 2.339 | 38.5 | 100.0 |
| 1.813 | 50.3 | 23.5 |
| 1.433 | 65.1 | 44.6 |
| 1.315 | 71.8 | 17.0 |
| 1.282 | 73.9 | 7.9 |
| 1.170 | 82.5 | 12.1 |
| 1.146 | 84.5 | 11.5 |
| 1.124 | 86.6 | 11.0 |


Record 8
Dy3TmP4: computed powder X-ray diffraction pattern (Cu Kα X-rays), based on the GGA-PBE geometry in Alexandria.

```
data_Dy3TmP4
_chemical_formula_sum 'Dy6 Tm2 P8'
_cell_length_a 7.9835
_cell_length_b 11.2900
_cell_length_c 3.9938
_cell_angle_alpha 90.00
_cell_angle_beta 90.00
_cell_angle_gamma 90.00
_symmetry_space_group_name_H-M 'C m m m'
_symmetry_Int_Tables_number 65
_symmetry_space_group_name_Hall '-C 2 2'
loop_
_atom_site_label
_atom_site_fract_x
_atom_site_fract_y
_atom_site_fract_z
_atom_site_occupancy
Dy1 0.0000 0.0000 0.0000 1
Dy2 0.2500 0.2500 0.5000 1
Tm1 0.0000 0.5000 0.0000 1
P1 0.0000 0.2513 0.0000 1
P2 0.2476 0.5000 0.5000 1
```

Most intense lines, 10 to 90 degrees two-theta, low angle first:
| d [Å] | 2theta | Rel. int. |
| --- | --- | --- |
| 3.260 | 27.4 | 88.2 |
| 2.823 | 31.7 | 100.0 |
| 1.996 | 45.4 | 73.1 |
| 1.702 | 53.9 | 42.9 |
| 1.630 | 56.5 | 25.5 |
| 1.412 | 66.2 | 11.8 |
| 1.295 | 73.0 | 17.3 |
| 1.263 | 75.3 | 32.9 |
| 1.153 | 84.0 | 25.1 |


Record 9
NbV6Ru5: computed powder X-ray diffraction pattern (Cu Kα X-rays), based on the GGA-PBE geometry in Alexandria.

```
data_NbV6Ru5
_chemical_formula_sum 'Nb2 V12 Ru10'
_cell_length_a 4.2845
_cell_length_b 12.8838
_cell_length_c 6.0592
_cell_angle_alpha 90.00
_cell_angle_beta 90.00
_cell_angle_gamma 90.00
_symmetry_space_group_name_H-M 'C m m m'
_symmetry_Int_Tables_number 65
_symmetry_space_group_name_Hall '-C 2 2'
loop_
_atom_site_label
_atom_site_fract_x
_atom_site_fract_y
_atom_site_fract_z
_atom_site_occupancy
Nb1 0.0000 0.0000 0.0000 1
V1 0.0000 0.1652 0.2484 1
V2 0.0000 0.5000 0.2512 1
Ru1 0.0000 0.0000 0.5000 1
Ru2 0.0000 0.3302 0.0000 1
Ru3 0.0000 0.3321 0.5000 1
```

Most intense lines, 10 to 90 degrees two-theta, low angle first:
| d [Å] | 2theta | Rel. int. |
| --- | --- | --- |
| 3.032 | 29.5 | 18.5 |
| 2.144 | 42.1 | 100.0 |
| 2.142 | 42.2 | 20.0 |
| 1.751 | 52.3 | 5.3 |
| 1.516 | 61.1 | 18.9 |
| 1.357 | 69.3 | 3.5 |
| 1.355 | 69.3 | 3.5 |
| 1.239 | 77.0 | 18.5 |
| 1.237 | 77.1 | 18.6 |


Record 10
PrHo6Mg2: computed powder X-ray diffraction pattern (Cu Kα X-rays), based on the GGA-PBE geometry in Alexandria.

```
data_PrHo6Mg2
_chemical_formula_sum 'Pr1 Ho6 Mg2'
_cell_length_a 4.8695
_cell_length_b 4.8695
_cell_length_c 11.9890
_cell_angle_alpha 90.00
_cell_angle_beta 90.00
_cell_angle_gamma 90.00
_symmetry_space_group_name_H-M 'P 4/m m m'
_symmetry_Int_Tables_number 123
_symmetry_space_group_name_Hall '-P 4 2'
loop_
_atom_site_label
_atom_site_fract_x
_atom_site_fract_y
_atom_site_fract_z
_atom_site_occupancy
Pr1 0.0000 0.0000 0.0000 1
Ho1 0.0000 0.0000 0.5000 1
Ho2 0.0000 0.5000 0.2900 1
Ho3 0.5000 0.5000 0.5000 1
Mg1 0.5000 0.5000 0.1148 1
```

Most intense lines, 10 to 90 degrees two-theta, low angle first:
| d [Å] | 2theta | Rel. int. |
| --- | --- | --- |
| 2.997 | 29.8 | 13.6 |
| 2.986 | 29.9 | 100.0 |
| 2.609 | 34.4 | 27.6 |
| 2.435 | 36.9 | 35.9 |
| 2.398 | 37.5 | 9.1 |
| 1.890 | 48.2 | 14.6 |
| 1.722 | 53.2 | 12.6 |
| 1.708 | 53.6 | 13.0 |
| 1.492 | 62.2 | 31.9 |
| 1.437 | 64.9 | 8.8 |


Record 11
HfZrPt6: computed powder X-ray diffraction pattern (Cu Kα X-rays), based on the GGA-PBE geometry in Alexandria.

```
data_HfZrPt6
_chemical_formula_sum 'Hf1 Zr1 Pt6'
_cell_length_a 4.0420
_cell_length_b 4.0420
_cell_length_c 8.0847
_cell_angle_alpha 90.00
_cell_angle_beta 90.00
_cell_angle_gamma 90.00
_symmetry_space_group_name_H-M 'P 4/m m m'
_symmetry_Int_Tables_number 123
_symmetry_space_group_name_Hall '-P 4 2'
loop_
_atom_site_label
_atom_site_fract_x
_atom_site_fract_y
_atom_site_fract_z
_atom_site_occupancy
Hf1 0.0000 0.0000 0.0000 1
Zr1 0.0000 0.0000 0.5000 1
Pt1 0.0000 0.5000 0.2485 1
Pt2 0.5000 0.5000 0.0000 1
Pt3 0.5000 0.5000 0.5000 1
```

Most intense lines, 10 to 90 degrees two-theta, low angle first:
| d [Å] | 2theta | Rel. int. |
| --- | --- | --- |
| 8.085 | 10.9 | 1.8 |
| 4.042 | 22.0 | 1.9 |
| 3.615 | 24.6 | 1.0 |
| 2.858 | 31.3 | 1.7 |
| 2.334 | 38.6 | 100.0 |
| 2.021 | 44.8 | 49.3 |
| 1.808 | 50.5 | 0.9 |
| 1.429 | 65.3 | 32.5 |
| 1.219 | 78.5 | 38.8 |
| 1.167 | 82.7 | 11.4 |


Record 12
Pm3Sm2Y8: computed powder X-ray diffraction pattern (Cu Kα X-rays), based on the GGA-PBE geometry in Alexandria.

```
data_Pm3Sm2Y8
_chemical_formula_sum 'Pm6 Sm4 Y16'
_cell_length_a 20.3841
_cell_length_b 7.7156
_cell_length_c 5.6909
_cell_angle_alpha 90.00
_cell_angle_beta 90.06
_cell_angle_gamma 90.00
_symmetry_space_group_name_H-M 'C 1 2/m 1'
_symmetry_Int_Tables_number 12
_symmetry_space_group_name_Hall '-C 2y'
loop_
_atom_site_label
_atom_site_fract_x
_atom_site_fract_y
_atom_site_fract_z
_atom_site_occupancy
Pm1 0.0000 0.0000 0.0000 1
Pm2 0.0000 0.2902 0.5000 1
Sm1 0.2415 0.0000 0.9982 1
Y1 0.1074 0.2899 0.0005 1
Y2 0.1335 0.0000 0.4995 1
Y3 0.1697 0.5000 0.5014 1
```

Most intense lines, 10 to 90 degrees two-theta, low angle first:
| d [Å] | 2theta | Rel. int. |
| --- | --- | --- |
| 3.608 | 24.7 | 24.7 |
| 3.045 | 29.3 | 32.6 |
| 2.917 | 30.6 | 31.8 |
| 2.845 | 31.4 | 40.2 |
| 2.706 | 33.1 | 100.0 |
| 2.550 | 35.2 | 23.3 |
| 2.234 | 40.4 | 13.3 |
| 1.899 | 47.9 | 19.5 |
| 1.615 | 57.0 | 20.7 |
| 1.459 | 63.8 | 10.8 |


Record 13
K3RbAg: computed powder X-ray diffraction pattern (Cu Kα X-rays), based on the GGA-PBE geometry in Alexandria.

```
data_K3RbAg
_chemical_formula_sum 'K3 Rb1 Ag1'
_cell_length_a 6.8071
_cell_length_b 6.8071
_cell_length_c 6.8071
_cell_angle_alpha 90.00
_cell_angle_beta 90.00
_cell_angle_gamma 90.00
_symmetry_space_group_name_H-M 'P m -3 m'
_symmetry_Int_Tables_number 221
_symmetry_space_group_name_Hall '-P 4 2 3'
loop_
_atom_site_label
_atom_site_fract_x
_atom_site_fract_y
_atom_site_fract_z
_atom_site_occupancy
K1 0.0000 0.0000 0.5000 1
Rb1 0.5000 0.5000 0.5000 1
Ag1 0.0000 0.0000 0.0000 1
```

Most intense lines, 10 to 90 degrees two-theta, low angle first:
| d [Å] | 2theta | Rel. int. |
| --- | --- | --- |
| 6.807 | 13.0 | 21.2 |
| 4.813 | 18.4 | 100.0 |
| 3.404 | 26.2 | 92.4 |
| 2.779 | 32.2 | 51.1 |
| 2.407 | 37.4 | 69.1 |
| 2.153 | 42.0 | 24.6 |
| 1.965 | 46.2 | 24.1 |
| 1.819 | 50.1 | 29.0 |
| 1.522 | 60.9 | 30.1 |
| 1.389 | 67.4 | 21.8 |